For ScC7, a GGA-PBE-relaxed structure gives the computed XRD peak list in this record (copper Kα).
Peak positions follow from Bragg's law for the DFT cell and can differ from measured ones.

Most intense lines, 2θ = 10–90°, in order of falling intensity:
2θ (°)	I_rel
48.6	100.0
23.7	70.9
56.7	42.1
27.5	37.0
46.4	35.3
39.2	28.8
84.4	23.0
62.3	14.0
64.1	12.8
76.2	9.9

Structural model:
Cell lengths 4.5920, 4.5920, 4.5920 Å; angles 60.00, 60.00, 60.00 degrees
Sites, in units of the cell vectors:
Sc 0.0000 0.0000 0.0000
C 0.0000 0.0000 0.5000
C 0.0000 0.5000 0.0000
C 0.0000 0.5000 0.5000
C 0.5000 0.0000 0.0000
C 0.5000 0.0000 0.5000
C 0.5000 0.5000 0.0000
C 0.5000 0.5000 0.5000

---

For Sc2C, a GGA-PBE-relaxed structure gives the computed XRD peak list in this record (copper Kα).
Peak positions follow from Bragg's law for the DFT cell and can differ from measured ones.

Most intense lines, 2θ = 10–90°, in order of falling intensity:
2θ (°)	I_rel
35.3	100.0
36.2	36.1
32.6	27.5
56.8	16.4
45.7	15.9
59.9	15.0
46.5	12.8
67.0	11.4
32.2	9.9
67.5	9.8

Structural model:
Cell lengths 5.4913, 5.5587, 3.3497 Å; angles 90.00, 90.00, 90.00 degrees
Sites, in units of the cell vectors:
Sc 0.2248 0.1772 0.0000
Sc 0.2752 0.6772 0.5000
Sc 0.7248 0.3228 0.5000
Sc 0.7752 0.8228 0.0000
C 0.0000 0.0000 0.5000
C 0.5000 0.5000 0.0000

---

For Sc3CSe, a GGA-PBE-relaxed structure gives the computed XRD peak list in this record (copper Kα).
Peak positions follow from Bragg's law for the DFT cell and can differ from measured ones.

Most intense lines, 2θ = 10–90°, in order of falling intensity:
2θ (°)	I_rel
37.0	100.0
38.9	82.2
37.4	75.1
34.1	60.0
36.0	53.3
31.0	47.2
38.7	34.6
52.5	30.2
38.4	29.6
18.1	28.6

Structural model:
Cell lengths 7.9977, 7.9977, 5.8275 Å; angles 95.00, 95.00, 96.74 degrees
Sites, in units of the cell vectors:
Sc 0.0505 0.7561 0.9296
Sc 0.1811 0.5827 0.3915
Sc 0.2439 0.9495 0.5704
Sc 0.3113 0.4571 0.8905
Sc 0.4173 0.8189 0.1085
Sc 0.4571 0.3113 0.3905
Sc 0.5429 0.6887 0.6095
Sc 0.5827 0.1811 0.8915
Sc 0.6887 0.5429 0.1095
Sc 0.7561 0.0505 0.4296
Sc 0.8189 0.4173 0.6085
Sc 0.9495 0.2439 0.0704
C 0.2839 0.7161 0.7500
C 0.4328 0.5672 0.2500
C 0.5672 0.4328 0.7500
C 0.7161 0.2839 0.2500
Se 0.0994 0.2597 0.5222
Se 0.2597 0.0994 0.0222
Se 0.7403 0.9006 0.9778
Se 0.9006 0.7403 0.4778